For Mn2NbCoO6, a DFT-relaxed cell (PBE+U, Alexandria) gives the computed X-ray diffraction stick pattern in this record (Cu Kα (weighted mean of Kα1 and Kα2)).
Lines closer than 0.1° are merged.

```
Mn2NbCoO6
1.0
5.1772 0.0000 0.0000
-2.4717 4.6538 0.0000
-0.0307 -2.8420 4.8062
Mn Nb Co O
2 1 1 6
direct
0.0000 0.0000 0.0000
0.4966 0.9875 0.4815
0.7964 0.5735 0.3782
0.2878 0.5529 0.8444
0.0582 0.4826 0.1602
0.1982 0.0714 0.6620
0.4258 0.1314 0.2142
0.5876 0.7930 0.6722
0.6825 0.7769 0.1983
0.9052 0.4952 0.6725
```

Main lines, by angle (2θ = 5–70°):
2θ = 23.60°, rel. 44, hkl 1 -1 1
2θ = 31.07°, rel. 100, hkl 1 0 1
2θ = 31.58°, rel. 100, hkl -1 1 1
2θ = 32.24°, rel. 78, hkl 0 1 -2
2θ = 33.34°, rel. 83, hkl 1 1 -1
2θ = 34.09°, rel. 76, hkl 1 -2 1
2θ = 34.67°, rel. 67, hkl 2 -1 0
2θ = 45.27°, rel. 43, hkl 0 2 0
2θ = 47.86°, rel. 36, hkl 2 0 -2
2θ = 59.65°, rel. 58, hkl 0 3 -2